Structure and theoretical X-ray powder pattern of Cu2AuCl6 (the GGA-PBE geometry in Alexandria; copper Kα).

Main lines, by angle (2θ = 15–90°):
Position (°2θ)  d_spacing  intensity
19.5  4.545  29.3
20.1  4.426  41.9
24.5  3.641  100.0
25.7  3.461  50.7
29.9  2.986  23.2
32.6  2.747  46.1
37.0  2.429  19.6
39.7  2.271  28.5
44.8  2.023  17.5
46.8  1.941  45.4
51.7  1.768  19.3
56.5  1.630  33.0

Structural model:
```
Cu2AuCl6
1.0
-3.6475 8.3523 4.0451
3.6475 -8.3523 4.0451
3.6475 8.3523 -4.0451
Cu Au Cl
4 2 12
Direct
0.1786 0.2261 0.4047
0.3214 0.7261 0.0476
0.6786 0.2739 0.9524
0.8214 0.7739 0.5953
0.2500 0.2500 0.0000
0.7500 0.7500 0.0000
0.1374 0.0082 0.6721
0.1639 0.4918 0.1292
0.2233 0.5172 0.7405
0.2767 0.0172 0.2939
0.3361 0.4653 0.3279
0.3626 0.0347 0.8708
0.6374 0.9653 0.1292
0.6639 0.5347 0.6721
0.7233 0.9828 0.7061
0.7767 0.4828 0.2595
0.8361 0.5082 0.8708
0.8626 0.9918 0.3279
```